Record 1
# La2CeAs
Theoretical powder XRD pattern, Cu Kα X-rays. Input: a DFT-relaxed cell (PBE, Alexandria).
Peak positions follow from Bragg's law for the DFT cell and can differ from measured ones.

Main lines, by angle (10 to 80 degrees two-theta):
2θ 25.6, d 3.475, I = 15
2θ 26.2, d 3.402, I = 16
2θ 27.8, d 3.210, I = 19
2θ 28.3, d 3.150, I = 38
2θ 29.8, d 2.994, I = 100
2θ 33.6, d 2.669, I = 21
2θ 40.5, d 2.228, I = 21
2θ 44.9, d 2.021, I = 41
2θ 48.5, d 1.876, I = 13
2θ 53.6, d 1.710, I = 19
2θ 54.8, d 1.675, I = 18
2θ 73.4, d 1.290, I = 15

Structure:
a = 4.0416 Å, b = 4.0416 Å, c = 28.8861 Å
α = 90.00°, β = 90.00°, γ = 120.00°
Space group R3m (No. 160, hexagonal axes)
Symmetry-distinct sites (fractional):
La: 0.0000 0.0000 0.0000
La: 0.0000 0.0000 0.2051
Ce: 0.0000 0.0000 0.7693
As: 0.0000 0.0000 0.6024

Record 2
# PrHo9Tm2
Theoretical powder XRD pattern, Cu Kα X-rays. Input: a DFT-relaxed cell (PBE, Alexandria).
Peak positions follow from Bragg's law for the DFT cell and can differ from measured ones.

Main lines, by angle (10 to 80 degrees two-theta):
2θ 30.1, d 2.965, I = 26
2θ 31.6, d 2.835, I = 53
2θ 32.1, d 2.791, I = 100
2θ 35.5, d 2.528, I = 23
2θ 38.0, d 2.371, I = 16
2θ 45.6, d 1.989, I = 17
2θ 50.5, d 1.807, I = 11
2θ 52.3, d 1.750, I = 9
2θ 56.8, d 1.620, I = 18
2θ 57.2, d 1.611, I = 17
2θ 62.7, d 1.483, I = 30
2θ 67.1, d 1.395, I = 10

Structure:
a = 11.1629 Å, b = 11.1629 Å, c = 3.4999 Å
α = 90.00°, β = 90.00°, γ = 120.00°
Space group P6/mmm (No. 191)
Symmetry-distinct sites (fractional):
Pr: 0.0000 0.0000 0.0000
Ho: 0.0000 0.5000 0.0000
Ho: 0.1791 0.3582 0.5000
Tm: 0.3333 0.6667 0.0000